# 1
Structure and computed XRD peak list of Pr7C3Br10 (a GGA-PBE-relaxed structure; Cu Kα, 1.54184 Å).
No peak broadening, texture or thermal motion is included.

Principal peaks in the range 2θ from 15° to 90°, by intensity:
| Position (°2θ) | I (rel.) |
| --- | --- |
| 28.74 | 100.0 |
| 30.31 | 81.4 |
| 30.83 | 71.0 |
| 43.07 | 54.0 |
| 41.45 | 27.8 |
| 42.23 | 27.1 |
| 53.89 | 24.5 |
| 44.16 | 23.4 |

Crystal structure
```
40
Lattice="9.237 0.000 0.000 4.448 10.292 0.000 4.148 -0.827 12.866" Properties=species:S:1:pos:R:3 pbc="T T T"
Pr 2.926 4.331 2.184
Pr 3.860 2.536 5.409
Pr 8.029 7.576 8.866
Pr 2.276 0.433 1.013
Pr 7.389 9.147 4.664
Pr 8.815 1.877 11.577
Pr 5.332 1.058 2.303
Pr 12.502 8.406 10.563
Pr 9.019 7.587 1.289
Pr 10.445 0.317 8.202
Pr 15.558 9.032 11.853
Pr 9.805 1.888 4.000
Pr 13.974 6.928 7.457
Pr 14.908 5.134 10.683
C 2.959 2.173 2.990
C 2.958 0.900 3.575
C 8.771 -0.190 12.574
C 9.062 9.655 0.292
C 14.876 8.564 9.291
C 14.874 7.291 9.876
Br 4.741 3.982 8.151
Br 5.929 2.393 12.416
Br 4.113 0.000 7.269
Br 9.407 8.761 11.294
Br 6.200 7.901 2.191
Br 7.416 6.374 6.227
Br 8.512 4.777 9.958
Br 5.742 3.980 1.201
Br 7.607 0.808 9.046
Br 6.740 2.218 4.797
Br 11.094 7.246 8.069
Br 10.227 8.656 3.820
Br 12.092 5.485 11.665
Br 9.322 4.687 2.908
Br 10.418 3.091 6.639
Br 11.634 1.563 10.675
Br 8.427 0.704 1.572
Br 13.721 9.465 5.597
Br 11.905 7.071 0.450
Br 13.093 5.483 4.715
```



# 2
Structure and computed XRD peak list of Pr2Sc2CBr5 (a GGA-PBE-relaxed structure; Cu Kα, 1.54184 Å).
No peak broadening, texture or thermal motion is included.

Principal peaks in the range 2θ from 15° to 90°, by intensity:
| Position (°2θ) | I (rel.) |
| --- | --- |
| 32.56 | 100.0 |
| 31.15 | 48.1 |
| 32.02 | 34.2 |
| 46.02 | 30.5 |
| 38.62 | 30.1 |
| 29.07 | 28.8 |
| 45.34 | 25.1 |
| 20.62 | 22.7 |

Crystal structure
```
10
Lattice="8.886 -1.888 0.000 8.886 1.888 0.000 -1.974 0.000 7.783" Properties=species:S:1:pos:R:3 pbc="T T T"
Pr 2.419 0.000 0.616
Pr 13.379 0.000 7.166
Sc 7.276 0.000 6.311
Sc 8.521 0.000 1.472
C 0.000 0.000 0.000
Br -0.987 0.000 3.891
Br 5.627 0.000 1.535
Br 4.874 0.000 4.959
Br 10.924 0.000 2.823
Br 10.171 0.000 6.248
```



# 3
Structure and computed XRD peak list of Pr2Sm2C2Br5 (a GGA-PBE-relaxed structure; Cu Kα, 1.54184 Å).
No peak broadening, texture or thermal motion is included.

Principal peaks in the range 2θ from 15° to 90°, by intensity:
| Position (°2θ) | I (rel.) |
| --- | --- |
| 31.30 | 100.0 |
| 28.41 | 67.2 |
| 43.22 | 39.6 |
| 42.34 | 35.9 |
| 27.54 | 22.6 |
| 30.23 | 22.6 |
| 54.88 | 20.9 |
| 45.92 | 19.5 |

Crystal structure
```
11
Lattice="9.710 -1.976 0.000 9.710 1.976 0.000 -1.993 0.000 8.031" Properties=species:S:1:pos:R:3 pbc="T T T"
Pr -0.580 0.000 2.386
Pr 18.006 0.000 5.646
Sm 5.895 0.000 3.231
Sm 11.531 0.000 4.800
C 8.036 0.000 3.832
C 9.390 0.000 4.199
Br 1.439 0.000 6.918
Br 2.625 0.000 2.714
Br 9.710 0.000 0.000
Br 14.801 0.000 5.317
Br 15.987 0.000 1.113
```



# 4
Structure and computed XRD peak list of TbTmC2Br2 (a GGA-PBE-relaxed structure; Cu Kα, 1.54184 Å).
No peak broadening, texture or thermal motion is included.

Principal peaks in the range 2θ from 15° to 90°, by intensity:
| Position (°2θ) | I (rel.) |
| --- | --- |
| 32.18 | 100.0 |
| 29.19 | 77.5 |
| 26.93 | 50.9 |
| 37.47 | 41.9 |
| 45.82 | 40.5 |
| 31.05 | 38.3 |
| 42.12 | 33.6 |
| 49.15 | 27.7 |

Crystal structure
```
6
Lattice="3.507 -1.880 0.000 3.507 1.880 0.000 -0.908 0.000 10.896" Properties=species:S:1:pos:R:3 pbc="T T T"
Tb 0.000 0.000 0.000
Tm 1.793 0.000 2.867
C 3.842 0.000 1.848
C 4.958 0.000 1.107
Br 1.498 0.000 8.992
Br 6.376 0.000 4.717
```



# 5
Structure and computed XRD peak list of CdBr2 (a GGA-PBE-relaxed structure; Cu Kα, 1.54184 Å).
No peak broadening, texture or thermal motion is included.

Principal peaks in the range 2θ from 15° to 90°, by intensity:
| Position (°2θ) | I (rel.) |
| --- | --- |
| 32.01 | 100.0 |
| 47.65 | 63.3 |
| 48.56 | 52.9 |
| 34.34 | 51.3 |
| 17.99 | 47.0 |
| 16.14 | 33.8 |
| 27.14 | 33.3 |
| 27.63 | 28.0 |

Crystal structure
```
12
Lattice="5.591 0.000 0.000 0.000 6.458 0.000 0.000 0.000 10.447" Properties=species:S:1:pos:R:3 pbc="T T T"
Cd 0.004 0.797 3.940
Cd 2.792 5.661 9.163
Cd 2.799 2.432 6.507
Cd 5.588 4.026 1.284
Br 0.001 1.373 1.343
Br 0.002 1.616 6.462
Br 5.591 4.602 3.880
Br 5.589 4.845 9.208
Br 2.798 1.613 3.984
Br 2.796 1.856 9.104
Br 2.793 4.842 1.239
Br 2.795 5.085 6.566
```



# 6
Structure and computed XRD peak list of Cs2CdSnBr6 (a GGA-PBE-relaxed structure; Cu Kα, 1.54184 Å).
No peak broadening, texture or thermal motion is included.

Principal peaks in the range 2θ from 15° to 90°, by intensity:
| Position (°2θ) | I (rel.) |
| --- | --- |
| 31.14 | 100.0 |
| 44.62 | 72.5 |
| 21.88 | 54.3 |
| 26.88 | 53.8 |
| 73.77 | 32.2 |
| 38.39 | 25.4 |
| 55.41 | 25.2 |
| 82.22 | 24.4 |

Crystal structure
```
10
Lattice="0.000 5.744 5.744 5.744 0.000 5.744 5.744 5.744 0.000" Properties=species:S:1:pos:R:3 pbc="T T T"
Cs 2.872 2.872 2.872
Cs 8.616 8.616 8.616
Cd 0.000 0.000 0.000
Sn 5.744 5.744 5.744
Br 5.744 5.744 2.809
Br 5.744 2.809 5.744
Br 8.679 5.744 5.744
Br 2.809 5.744 5.744
Br 5.744 8.679 5.744
Br 5.744 5.744 8.679
```



# 7
Structure and computed XRD peak list of CdH4Br3N (a GGA-PBE-relaxed structure; Cu Kα, 1.54184 Å).
No peak broadening, texture or thermal motion is included.

Principal peaks in the range 2θ from 15° to 90°, by intensity:
| Position (°2θ) | I (rel.) |
| --- | --- |
| 30.70 | 100.0 |
| 29.05 | 66.8 |
| 42.86 | 58.4 |
| 46.69 | 44.6 |
| 29.98 | 38.7 |
| 28.48 | 38.0 |
| 42.34 | 37.4 |
| 29.83 | 34.2 |

Crystal structure
```
36
Lattice="9.232 0.000 0.000 0.000 4.269 0.000 0.000 0.000 15.746" Properties=species:S:1:pos:R:3 pbc="T T T"
Cd 1.547 1.067 0.931
Cd 3.069 3.202 8.804
Cd 6.162 1.067 6.942
Cd 7.685 3.202 14.815
H 0.111 3.202 6.086
H 0.338 2.369 4.635
H 0.338 4.035 4.635
H 1.645 3.202 5.313
H 2.971 1.067 13.186
H 4.278 0.235 12.507
H 4.278 1.900 12.507
H 4.505 1.067 13.959
H 4.726 3.202 1.787
H 4.953 2.369 3.238
H 4.953 4.035 3.238
H 6.260 3.202 2.559
H 7.587 1.067 10.432
H 8.894 0.235 11.111
H 8.894 1.900 11.111
H 9.121 1.067 9.660
Br 0.295 1.067 14.135
Br 1.501 1.067 7.836
Br 1.964 3.202 11.248
Br 2.652 1.067 3.376
Br 3.115 3.202 15.709
Br 4.321 3.202 6.262
Br 4.910 1.067 9.483
Br 6.117 1.067 0.037
Br 6.580 3.202 12.370
Br 7.267 1.067 4.497
Br 7.731 3.202 7.910
Br 8.937 3.202 1.610
N 0.621 3.202 5.177
N 3.995 1.067 13.049
N 5.237 3.202 2.696
N 8.610 1.067 10.569
```



# 8
Structure and computed XRD peak list of CdH4Br3N (a GGA-PBE-relaxed structure; Cu Kα, 1.54184 Å).
No peak broadening, texture or thermal motion is included.

Principal peaks in the range 2θ from 15° to 90°, by intensity:
| Position (°2θ) | I (rel.) |
| --- | --- |
| 30.36 | 100.0 |
| 38.27 | 69.8 |
| 35.62 | 62.8 |
| 36.36 | 42.2 |
| 27.04 | 40.3 |
| 50.32 | 29.5 |
| 48.22 | 25.7 |
| 45.44 | 23.8 |

Crystal structure
```
18
Lattice="7.544 0.000 0.000 0.000 6.771 0.000 -3.765 0.000 6.543" Properties=species:S:1:pos:R:3 pbc="T T T"
Cd 0.001 0.000 0.001
Cd 3.778 3.386 6.542
H -0.987 1.615 4.353
H 0.510 1.616 3.501
H 0.012 2.968 4.368
H 0.499 1.605 5.223
H 3.280 4.990 1.320
H 3.268 5.002 3.042
H 3.767 6.354 2.175
H 4.765 5.001 2.191
Br -0.405 5.056 2.198
Br -1.659 5.055 5.796
Br 1.702 1.671 1.451
Br 2.076 5.056 5.092
Br 5.438 1.670 0.747
Br 4.184 1.670 4.345
N 0.008 1.933 4.361
N 3.770 5.318 2.182
```